[1]
Calculated powder X-ray diffraction pattern
Compound: KNaPbSe2
Radiation: Cu Kα (weighted mean of Kα1 and Kα2)
Structure: the GGA-PBE geometry in Alexandria

Crystal structure
Lattice parameters (Å, degrees): 8.4953 8.4953 9.5167 95.00 95.00 32.53
Element x y z (fractional)
K (0.1874, 0.1874, 0.1707)
K (0.8126, 0.8126, 0.8293)
Na (0.1909, 0.1909, 0.5557)
Na (0.8091, 0.8091, 0.4443)
Pb (0.4403, 0.4403, 0.2971)
Pb (0.5597, 0.5597, 0.7029)
Se (0.1478, 0.1478, 0.8326)
Se (0.3719, 0.3719, 0.5718)
Se (0.6281, 0.6281, 0.4282)
Se (0.8522, 0.8522, 0.1674)

Largest 10 diffraction maxima, in order of falling intensity, 2θ from 10° to 80°:
d/Å, intensity
6.464, 1000
2.631, 926
4.566, 722
2.532, 656
3.039, 493
2.775, 477
2.379, 432
4.155, 420
4.068, 413
3.574, 375



[2]
Calculated powder X-ray diffraction pattern
Compound: KNa2TiPb
Radiation: Cu Kα (weighted mean of Kα1 and Kα2)
Structure: the GGA-PBE geometry in Alexandria

Crystal structure
Lattice parameters (Å, degrees): 6.0179 6.0179 5.5640 90.00 90.00 90.00
Element x y z (fractional)
K (0.0000, 0.0000, 0.0000)
Na (0.0000, 0.5000, 0.5000)
Na (0.5000, 0.0000, 0.5000)
Ti (0.5000, 0.5000, 0.0000)
Pb (0.5000, 0.5000, 0.5000)

Largest 10 diffraction maxima, in order of falling intensity, 2θ from 10° to 80°:
d/Å, intensity
6.018, 1000
4.085, 724
4.255, 624
3.009, 518
2.423, 383
2.043, 340
2.691, 292
2.329, 258
2.525, 246
5.564, 241



[3]
Calculated powder X-ray diffraction pattern
Compound: KNa4Pd
Radiation: Cu Kα (weighted mean of Kα1 and Kα2)
Structure: the GGA-PBE geometry in Alexandria

Crystal structure
Lattice parameters (Å, degrees): 10.3795 10.3795 6.0945 106.67 106.67 45.50
Element x y z (fractional)
K (0.2117, 0.2117, 0.2110)
K (0.7883, 0.7883, 0.7890)
Na (0.1598, 0.6511, 0.4072)
Na (0.2044, 0.7956, 0.0000)
Na (0.3489, 0.8402, 0.5928)
Na (0.3648, 0.3648, 0.8667)
Na (0.6352, 0.6352, 0.1333)
Na (0.6511, 0.1598, 0.4072)
Na (0.7956, 0.2044, 0.0000)
Na (0.8402, 0.3489, 0.5928)
Pd (0.5000, 0.5000, 0.2699)
Pd (0.5000, 0.5000, 0.7301)

Largest 10 diffraction maxima, in order of falling intensity, 2θ from 10° to 80°:
d/Å, intensity
7.344, 1000
4.841, 442
2.815, 181
2.473, 173
2.348, 166
2.341, 163
3.009, 151
4.549, 136
2.647, 119
4.014, 116



[4]
Calculated powder X-ray diffraction pattern
Compound: KNa3Pd
Radiation: Cu Kα (weighted mean of Kα1 and Kα2)
Structure: the GGA-PBE geometry in Alexandria

Crystal structure
Lattice parameters (Å, degrees): 10.6179 10.6179 6.9252 99.90 99.90 61.17
Element x y z (fractional)
K (0.0663, 0.9337, 0.7500)
K (0.3722, 0.6278, 0.2500)
K (0.6278, 0.3722, 0.7500)
K (0.9337, 0.0663, 0.2500)
Na (0.0062, 0.3495, 0.5800)
Na (0.0098, 0.6505, 0.9164)
Na (0.3317, 0.3344, 0.4076)
Na (0.3344, 0.3317, 0.9076)
Na (0.3495, 0.9902, 0.5836)
Na (0.3495, 0.0062, 0.0800)
Na (0.6505, 0.9938, 0.9200)
Na (0.6505, 0.0098, 0.4164)
Na (0.6656, 0.6683, 0.0924)
Na (0.6683, 0.6656, 0.5924)
Na (0.9902, 0.3495, 0.0836)
Na (0.9938, 0.6505, 0.4200)
Pd (0.2566, 0.5917, 0.7076)
Pd (0.4083, 0.7434, 0.7924)
Pd (0.5917, 0.2566, 0.2076)
Pd (0.7434, 0.4083, 0.2924)

Largest 10 diffraction maxima, in order of falling intensity, 2θ from 10° to 80°:
d/Å, intensity
5.763, 1000
2.496, 693
5.221, 423
3.084, 369
3.405, 291
3.531, 289
2.595, 262
3.009, 246
2.982, 204
2.833, 203



Repeat the third record exactly.
Calculated powder X-ray diffraction pattern
Compound: KNa4Pd
Radiation: Cu Kα (weighted mean of Kα1 and Kα2)
Structure: the GGA-PBE geometry in Alexandria

Crystal structure
Lattice parameters (Å, degrees): 10.3795 10.3795 6.0945 106.67 106.67 45.50
Element x y z (fractional)
K (0.2117, 0.2117, 0.2110)
K (0.7883, 0.7883, 0.7890)
Na (0.1598, 0.6511, 0.4072)
Na (0.2044, 0.7956, 0.0000)
Na (0.3489, 0.8402, 0.5928)
Na (0.3648, 0.3648, 0.8667)
Na (0.6352, 0.6352, 0.1333)
Na (0.6511, 0.1598, 0.4072)
Na (0.7956, 0.2044, 0.0000)
Na (0.8402, 0.3489, 0.5928)
Pd (0.5000, 0.5000, 0.2699)
Pd (0.5000, 0.5000, 0.7301)

Largest 10 diffraction maxima, in order of falling intensity, 2θ from 10° to 80°:
d/Å, intensity
7.344, 1000
4.841, 442
2.815, 181
2.473, 173
2.348, 166
2.341, 163
3.009, 151
4.549, 136
2.647, 119
4.014, 116